(1)
For DyH8Rh4, a crystal structure in Alexandria, relaxed with GGA-PBE gives the calculated X-ray powder pattern in this record (λ = 1.5418 Å (Cu Kα)).
Intensities are scaled so that the largest is 100.

```
data_DyH8Rh4
_cell_length_a 5.578
_cell_length_b 5.686
_cell_length_c 5.831
_cell_angle_alpha 90.89
_cell_angle_beta 118.26
_cell_angle_gamma 119.21
_space_group_name_H-M_alt 'P -1'
_space_group_IT_number 2
_space_group_name_Hall '-P 1'
loop_
_atom_site_label
_atom_site_fract_x
_atom_site_fract_y
_atom_site_fract_z
Dy1 0.000 0.000 0.000
H1 0.062 0.352 0.771
H2 0.075 0.273 0.376
H3 0.425 0.727 0.627
H4 0.443 0.666 0.224
Rh1 0.000 0.500 0.000
Rh2 0.000 0.500 0.500
Rh3 0.500 0.500 0.000
Rh4 0.500 0.500 0.500
```

Most intense lines, 2θ from 15° to 90°, low angle first:
- d = 4.864 Å, 2θ = 18.24°, rel. 25, (0 0 1)
- d = 4.701 Å, 2θ = 18.88°, rel. 74, (0 1 0)
- d = 4.612 Å, 2θ = 19.24°, rel. 47, (1 0 -1)
- d = 2.513 Å, 2θ = 35.73°, rel. 19, (0 1 -2)
- d = 2.431 Å, 2θ = 36.97°, rel. 71, (0 0 2)
- d = 2.350 Å, 2θ = 38.29°, rel. 53, (0 2 0)
- d = 2.306 Å, 2θ = 39.06°, rel. 100, (2 0 -2)
- d = 2.051 Å, 2θ = 44.17°, rel. 37, (0 2 -2)
- d = 2.031 Å, 2θ = 44.62°, rel. 36, (2 0 0)
- d = 2.017 Å, 2θ = 44.95°, rel. 35, (-2 2 2)

=====

(2)
For Dy2H7Ru2, a crystal structure in Alexandria, relaxed with GGA-PBE gives the calculated X-ray powder pattern in this record (λ = 1.5418 Å (Cu Kα)).
Intensities are scaled so that the largest is 100.

```
data_Dy2H7Ru2
_cell_length_a 6.364
_cell_length_b 7.088
_cell_length_c 4.487
_cell_angle_alpha 90.00
_cell_angle_beta 90.00
_cell_angle_gamma 90.00
_space_group_name_H-M_alt 'C m m m'
_space_group_IT_number 65
_space_group_name_Hall '-C 2 2'
loop_
_atom_site_label
_atom_site_fract_x
_atom_site_fract_y
_atom_site_fract_z
Dy1 0.238 0.000 0.000
H1 0.000 0.000 0.500
H2 0.000 0.500 0.305
H3 0.250 0.250 0.292
Ru1 0.000 0.261 0.500
```

Most intense lines, 2θ from 15° to 90°, low angle first:
- d = 2.781 Å, 2θ = 32.18°, rel. 100, (0 2 1)
- d = 2.596 Å, 2θ = 34.56°, rel. 83, (2 0 1)
- d = 2.368 Å, 2θ = 38.00°, rel. 61, (2 2 0)
- d = 2.244 Å, 2θ = 40.19°, rel. 27, (0 0 2)
- d = 1.772 Å, 2θ = 51.57°, rel. 13, (0 4 0)
- d = 1.629 Å, 2θ = 56.51°, rel. 40, (2 2 2)
- d = 1.464 Å, 2θ = 63.57°, rel. 27, (2 4 1)
- d = 1.391 Å, 2θ = 67.33°, rel. 11, (0 4 2)
- d = 1.381 Å, 2θ = 67.86°, rel. 22, (4 2 1)
- d = 1.378 Å, 2θ = 68.03°, rel. 11, (0 2 3)